(1)
Calculated X-ray powder pattern
Compound: AcPm2Pr4Ho
Radiation: Cu Ka
Structure: a cell relaxed with GGA-PBE
Peak positions follow from Bragg's law for the DFT cell and can differ from measured ones.

Crystal structure
Cell lengths 5.229, 5.259, 10.495 Å; angles 90.00, 90.00, 90.00 degrees
Positions (direct):
Ac (0.000, 0.000, 0.000)
Pm (0.000, 0.000, 0.500)
Pm (0.500, 0.500, 0.000)
Pr (0.000, 0.500, 0.258)
Pr (0.000, 0.500, 0.742)
Pr (0.500, 0.000, 0.258)
Pr (0.500, 0.000, 0.742)
Ho (0.500, 0.500, 0.500)

Principal peaks in the range 2θ from 5° to 70°, by angle:
- 4.691 Å, intensity 1
- 3.028 Å, intensity 100
- 2.627 Å, intensity 34
- 2.614 Å, intensity 17
- 1.856 Å, intensity 24
- 1.852 Å, intensity 12
- 1.585 Å, intensity 15
- 1.582 Å, intensity 14
- 1.578 Å, intensity 15
- 1.514 Å, intensity 13



(2)
Calculated X-ray powder pattern
Compound: Ho2ErOsC2
Radiation: Cu Ka
Structure: a cell relaxed with GGA-PBE
Peak positions follow from Bragg's law for the DFT cell and can differ from measured ones.

Crystal structure
Cell lengths 5.544, 10.949, 3.675 Å; angles 90.00, 90.00, 90.00 degrees
Positions (direct):
Ho (0.049, 0.207, 0.000)
Ho (0.451, 0.707, 0.500)
Ho (0.549, 0.293, 0.500)
Ho (0.951, 0.793, 0.000)
Er (0.000, 0.500, 0.500)
Er (0.500, 0.000, 0.000)
Os (0.000, 0.000, 0.500)
Os (0.500, 0.500, 0.000)
C (0.225, 0.619, 0.000)
C (0.275, 0.119, 0.500)
C (0.725, 0.881, 0.500)
C (0.775, 0.381, 0.000)

Principal peaks in the range 2θ from 5° to 70°, by angle:
- 3.048 Å, intensity 8
- 2.772 Å, intensity 26
- 2.737 Å, intensity 16
- 2.673 Å, intensity 100
- 2.590 Å, intensity 7
- 1.948 Å, intensity 13
- 1.838 Å, intensity 11
- 1.581 Å, intensity 15
- 1.532 Å, intensity 10
- 1.525 Å, intensity 9



(3)
Calculated X-ray powder pattern
Compound: SiIr4Pt
Radiation: Cu Ka
Structure: a cell relaxed with GGA-PBE
Peak positions follow from Bragg's law for the DFT cell and can differ from measured ones.

Crystal structure
Cell lengths 5.165, 5.165, 5.165 Å; angles 60.00, 60.00, 60.00 degrees
Positions (direct):
Si (0.000, 0.000, 0.000)
Ir (0.125, 0.625, 0.625)
Ir (0.625, 0.125, 0.625)
Ir (0.625, 0.625, 0.125)
Ir (0.625, 0.625, 0.625)
Pt (0.250, 0.250, 0.250)

Principal peaks in the range 2θ from 5° to 70°, by angle:
- 4.217 Å, intensity 38
- 3.652 Å, intensity 8
- 2.582 Å, intensity 13
- 2.202 Å, intensity 100
- 2.109 Å, intensity 59
- 1.826 Å, intensity 14
- 1.676 Å, intensity 9
- 1.633 Å, intensity 4
- 1.491 Å, intensity 5
- 1.406 Å, intensity 32



(4)
Calculated X-ray powder pattern
Compound: Pu5ReGe5
Radiation: Cu Ka
Structure: a cell relaxed with GGA-PBE
Peak positions follow from Bragg's law for the DFT cell and can differ from measured ones.

Crystal structure
Cell lengths 8.473, 8.473, 5.724 Å; angles 90.00, 90.00, 144.15 degrees
Positions (direct):
Pu (0.000, 0.000, 0.000)
Pu (0.341, 0.659, 0.257)
Pu (0.341, 0.659, 0.743)
Pu (0.659, 0.341, 0.257)
Pu (0.659, 0.341, 0.743)
Re (0.000, 0.000, 0.500)
Ge (0.163, 0.837, 0.500)
Ge (0.180, 0.820, 0.000)
Ge (0.500, 0.500, 0.500)
Ge (0.820, 0.180, 0.000)
Ge (0.837, 0.163, 0.500)

Principal peaks in the range 2θ from 5° to 70°, by angle:
- 3.743 Å, intensity 100
- 2.687 Å, intensity 62
- 2.608 Å, intensity 62
- 2.479 Å, intensity 70
- 2.334 Å, intensity 30
- 2.274 Å, intensity 43
- 1.980 Å, intensity 23
- 1.872 Å, intensity 60
- 1.739 Å, intensity 25
- 1.696 Å, intensity 41



(5)
Calculated X-ray powder pattern
Compound: YGaIr
Radiation: Cu Ka
Structure: a cell relaxed with GGA-PBE
Peak positions follow from Bragg's law for the DFT cell and can differ from measured ones.

Crystal structure
Cell lengths 9.729, 9.729, 7.076 Å; angles 91.15, 91.15, 35.14 degrees
Positions (direct):
Y (0.012, 0.988, 0.750)
Y (0.242, 0.432, 0.163)
Y (0.432, 0.242, 0.663)
Y (0.568, 0.758, 0.337)
Y (0.758, 0.568, 0.837)
Y (0.988, 0.012, 0.250)
Ga (0.086, 0.258, 0.206)
Ga (0.258, 0.086, 0.706)
Ga (0.500, 0.500, 0.000)
Ga (0.500, 0.500, 0.500)
Ga (0.742, 0.914, 0.294)
Ga (0.914, 0.742, 0.794)
Ir (0.000, 0.500, 0.500)
Ir (0.118, 0.688, 0.492)
Ir (0.312, 0.882, 0.008)
Ir (0.500, 0.000, 0.000)
Ir (0.688, 0.118, 0.992)
Ir (0.882, 0.312, 0.508)

Principal peaks in the range 2θ from 5° to 70°, by angle:
- 4.404 Å, intensity 79
- 4.377 Å, intensity 100
- 2.368 Å, intensity 34
- 2.352 Å, intensity 41
- 2.301 Å, intensity 96
- 2.272 Å, intensity 46
- 2.260 Å, intensity 57
- 2.168 Å, intensity 47
- 2.129 Å, intensity 73
- 1.877 Å, intensity 36



(6)
Calculated X-ray powder pattern
Compound: RbHfBr6
Radiation: Cu Ka
Structure: a cell relaxed with GGA-PBE
Peak positions follow from Bragg's law for the DFT cell and can differ from measured ones.

Crystal structure
Cell lengths 6.686, 6.686, 6.731 Å; angles 98.33, 98.33, 98.20 degrees
Positions (direct):
Rb (0.000, 0.000, 0.000)
Hf (0.500, 0.500, 0.500)
Br (0.221, 0.583, 0.224)
Br (0.223, 0.223, 0.585)
Br (0.417, 0.779, 0.776)
Br (0.583, 0.221, 0.224)
Br (0.777, 0.777, 0.415)
Br (0.779, 0.417, 0.776)

Principal peaks in the range 2θ from 5° to 70°, by angle:
- 6.536 Å, intensity 61
- 5.068 Å, intensity 52
- 4.276 Å, intensity 37
- 4.005 Å, intensity 47
- 3.264 Å, intensity 21
- 2.749 Å, intensity 100
- 2.742 Å, intensity 54
- 2.179 Å, intensity 21
- 1.977 Å, intensity 24
- 1.967 Å, intensity 42



(7)
Calculated X-ray powder pattern
Compound: Dy8ErSc3
Radiation: Cu Ka
Structure: a cell relaxed with GGA-PBE
Peak positions follow from Bragg's law for the DFT cell and can differ from measured ones.

Crystal structure
Cell lengths 5.998, 7.753, 8.503 Å; angles 111.40, 90.04, 104.93 degrees
Positions (direct):
Dy (0.000, 0.000, 0.000)
Dy (0.079, 0.750, 0.582)
Dy (0.161, 0.493, 0.163)
Dy (0.411, 0.748, 0.918)
Dy (0.492, 0.489, 0.497)
Dy (0.745, 0.745, 0.250)
Dy (0.825, 0.492, 0.833)
Dy (0.910, 0.242, 0.414)
Er (0.658, 0.000, 0.668)
Sc (0.246, 0.243, 0.748)
Sc (0.330, 0.998, 0.333)
Sc (0.574, 0.244, 0.083)

Principal peaks in the range 2θ from 5° to 70°, by angle:
- 6.936 Å, intensity 4
- 4.004 Å, intensity 4
- 2.831 Å, intensity 100
- 2.452 Å, intensity 50
- 1.735 Å, intensity 23
- 1.732 Å, intensity 12
- 1.479 Å, intensity 34
- 1.477 Å, intensity 7
- 1.416 Å, intensity 9
- 1.414 Å, intensity 3



(8)
Calculated X-ray powder pattern
Compound: PmPuAl2O8
Radiation: Cu Ka
Structure: a cell relaxed with GGA-PBE
Peak positions follow from Bragg's law for the DFT cell and can differ from measured ones.

Crystal structure
Cell lengths 5.891, 5.891, 5.891 Å; angles 107.45, 107.45, 113.60 degrees
Positions (direct):
Pm (0.000, 0.000, 0.000)
Pu (0.750, 0.250, 0.500)
Al (0.250, 0.750, 0.500)
Al (0.500, 0.500, 0.000)
O (0.054, 0.380, 0.326)
O (0.054, 0.729, 0.674)
O (0.126, 0.323, 0.802)
O (0.271, 0.946, 0.326)
O (0.521, 0.323, 0.198)
O (0.620, 0.946, 0.674)
O (0.677, 0.479, 0.802)
O (0.677, 0.874, 0.198)

Principal peaks in the range 2θ from 5° to 70°, by angle:
- 4.735 Å, intensity 100
- 3.486 Å, intensity 89
- 2.807 Å, intensity 37
- 2.699 Å, intensity 69
- 2.465 Å, intensity 20
- 2.186 Å, intensity 24
- 2.055 Å, intensity 18
- 1.852 Å, intensity 22
- 1.820 Å, intensity 57
- 1.464 Å, intensity 30